This entry pairs a crystal structure of Rb2U5P4O28 with its simulated XRD peak list. Radiation: Cu Kα X-rays. Structure: a PBE-relaxed structure.
Lines closer than 0.1° are merged.

Structure:
abc: 13.188 15.880 9.516
angles: 90.00 132.75 90.00
Space group Cm (No. 8)
Inequivalent atoms, fractional coordinates:
Rb 0.000 0.000 0.000
Rb 0.063 0.500 0.004
U 0.060 0.000 0.523
U 0.246 0.226 0.230
U 0.347 0.267 0.736
P 0.015 0.187 0.249
P 0.080 0.218 0.717
O 0.093 0.133 0.654
O 0.095 0.209 0.894
O 0.152 0.000 0.833
O 0.167 0.220 0.411
O 0.184 0.280 0.754
O 0.198 0.500 0.840
O 0.205 0.337 0.192
O 0.236 0.000 0.623
O 0.275 0.114 0.258
O 0.319 0.376 0.667
O 0.384 0.500 0.421
O 0.389 0.159 0.817
O 0.415 0.252 0.229
O 0.429 0.247 0.564
O 0.498 0.307 0.068
O 0.498 0.404 0.281

The 10 most intense peaks (2θ from 15° to 90°), by angle:
2θ/deg, Rel. int., (hkl)
17.48, 51, 2 2 -1
18.68, 74, 2 0 -2
19.19, 39, 1 3 -1
21.49, 88, 2 2 0
22.39, 75, 0 4 0
27.90, 100, 0 2 2
29.33, 56, 2 4 -2
29.74, 33, 4 0 -1
32.28, 34, 4 2 -3
40.88, 30, 2 0 2